Structure and simulated X-ray powder pattern of PmTh3Se4 (a structure optimized by DFT (GGA-PBE); CuKα).
Kinematic intensities with the Lorentz-polarization factor, no thermal factor.

Crystal structure
a b c (Å): 7.2381 8.6003 7.1938
angles (deg): 90.00 110.62 90.00
Sites, in units of the cell vectors:
Pm1 0.0000 0.1234 0.2500
Pm2 0.0000 0.8766 0.7500
Th1 0.0000 0.3755 0.7500
Th2 0.0000 0.6245 0.2500
Th3 0.5000 0.1260 0.7500
Th4 0.5000 0.3770 0.2500
Th5 0.5000 0.6230 0.7500
Th6 0.5000 0.8740 0.2500
Se1 0.2472 0.3722 0.4974
Se2 0.2472 0.6278 0.9974
Se3 0.2484 0.1239 0.0010
Se4 0.2484 0.8761 0.5010
Se5 0.7516 0.1239 0.4990
Se6 0.7516 0.8761 0.9990
Se7 0.7528 0.3722 0.0026
Se8 0.7528 0.6278 0.5026

Largest 12 diffraction maxima, low angle first, 2θ = 10–90°:
25.58 deg, intensity 19
26.31 deg, intensity 9
26.48 deg, intensity 9
30.10 deg, intensity 100
42.02 deg, intensity 14
42.99 deg, intensity 25
43.21 deg, intensity 25
44.10 deg, intensity 12
52.57 deg, intensity 14
54.15 deg, intensity 7
62.58 deg, intensity 13
71.16 deg, intensity 12


Structure and simulated X-ray powder pattern of PmGe3Ir2 (a structure optimized by DFT (GGA-PBE); CuKα).
Kinematic intensities with the Lorentz-polarization factor, no thermal factor.

Crystal structure
a b c (Å): 6.3000 6.3000 5.7190
angles (deg): 90.00 90.00 77.65
Sites, in units of the cell vectors:
Pm1 0.1602 0.8398 0.7500
Pm2 0.8398 0.1602 0.2500
Ge1 0.0576 0.6112 0.2500
Ge2 0.3888 0.9424 0.2500
Ge3 0.4763 0.5237 0.2500
Ge4 0.5237 0.4763 0.7500
Ge5 0.6112 0.0576 0.7500
Ge6 0.9424 0.3888 0.7500
Ir1 0.2690 0.2690 0.0000
Ir2 0.2690 0.2690 0.5000
Ir3 0.7310 0.7310 0.0000
Ir4 0.7310 0.7310 0.5000

Largest 12 diffraction maxima, low angle first, 2θ = 10–90°:
18.07 deg, intensity 50
22.51 deg, intensity 37
29.02 deg, intensity 56
33.06 deg, intensity 31
33.53 deg, intensity 64
35.29 deg, intensity 36
36.36 deg, intensity 100
36.62 deg, intensity 42
38.88 deg, intensity 82
43.19 deg, intensity 93
43.41 deg, intensity 40
49.77 deg, intensity 32


Structure and simulated X-ray powder pattern of Y8PtSe3S4 (a structure optimized by DFT (GGA-PBE); CuKα).
Kinematic intensities with the Lorentz-polarization factor, no thermal factor.

Crystal structure
a b c (Å): 8.0356 8.0356 8.0356
angles (deg): 59.94 59.94 59.94
Sites, in units of the cell vectors:
Y1 0.2377 0.7518 0.7518
Y2 0.2432 0.2432 0.2432
Y3 0.2482 0.2482 0.7623
Y4 0.2482 0.7623 0.2482
Y5 0.7518 0.2377 0.7518
Y6 0.7518 0.7518 0.2377
Y7 0.7568 0.7568 0.7568
Y8 0.7623 0.2482 0.2482
Pt1 0.0000 0.0000 0.0000
Se1 0.0000 0.5000 0.5000
Se2 0.5000 0.0000 0.5000
Se3 0.5000 0.5000 0.0000
S1 0.0000 0.0000 0.5000
S2 0.0000 0.5000 0.0000
S3 0.5000 0.0000 0.0000
S4 0.5000 0.5000 0.5000

Largest 12 diffraction maxima, low angle first, 2θ = 10–90°:
13.50 deg, intensity 16
26.03 deg, intensity 13
31.50 deg, intensity 100
34.41 deg, intensity 8
41.29 deg, intensity 6
45.16 deg, intensity 71
47.35 deg, intensity 5
56.10 deg, intensity 24
65.77 deg, intensity 11
74.75 deg, intensity 30
83.35 deg, intensity 17
83.41 deg, intensity 6


Structure and simulated X-ray powder pattern of ZnCu2Pd6 (a structure optimized by DFT (GGA-PBE); CuKα).
Kinematic intensities with the Lorentz-polarization factor, no thermal factor.

Crystal structure
a b c (Å): 8.1039 6.3188 5.8052
angles (deg): 83.78 50.82 45.41
Sites, in units of the cell vectors:
Zn1 0.0000 0.0000 0.0000
Cu1 0.3301 0.3301 0.6699
Cu2 0.6699 0.6699 0.3301
Pd1 0.0072 0.3253 0.6747
Pd2 0.3253 0.0072 0.9928
Pd3 0.3426 0.6574 0.3426
Pd4 0.6574 0.3426 0.6574
Pd5 0.6747 0.9928 0.0072
Pd6 0.9928 0.6747 0.3253

Largest 12 diffraction maxima, low angle first, 2θ = 10–90°:
32.80 deg, intensity 8
40.46 deg, intensity 100
45.38 deg, intensity 18
45.48 deg, intensity 18
50.20 deg, intensity 12
66.20 deg, intensity 11
68.84 deg, intensity 3
70.01 deg, intensity 18
80.46 deg, intensity 13
80.61 deg, intensity 13
87.50 deg, intensity 10
87.64 deg, intensity 9


Structure and simulated X-ray powder pattern of LiAcH2F8 (a structure optimized by DFT (GGA-PBE); CuKα).
Kinematic intensities with the Lorentz-polarization factor, no thermal factor.

Crystal structure
a b c (Å): 4.5349 4.5555 7.8011
angles (deg): 87.66 89.08 61.23
Sites, in units of the cell vectors:
Li1 0.0000 0.0000 0.0000
Ac1 0.0000 0.0000 0.5000
H1 0.4850 0.5003 0.2000
H2 0.5150 0.4997 0.8000
F1 0.2125 0.6953 0.2024
F2 0.2304 0.6996 0.8065
F3 0.3361 0.3200 0.5146
F4 0.3621 0.1576 0.9664
F5 0.6379 0.8424 0.0336
F6 0.6639 0.6800 0.4854
F7 0.7696 0.3004 0.1935
F8 0.7875 0.3047 0.7976

Largest 12 diffraction maxima, low angle first, 2θ = 10–90°:
11.35 deg, intensity 100
22.32 deg, intensity 49
22.78 deg, intensity 70
24.68 deg, intensity 15
25.14 deg, intensity 67
25.46 deg, intensity 18
25.83 deg, intensity 20
31.48 deg, intensity 18
32.72 deg, intensity 16
34.52 deg, intensity 18
39.77 deg, intensity 17
40.90 deg, intensity 22


Structure and simulated X-ray powder pattern of LiSn5Rh3 (a structure optimized by DFT (GGA-PBE); CuKα).
Kinematic intensities with the Lorentz-polarization factor, no thermal factor.

Crystal structure
a b c (Å): 5.4832 9.8649 12.9391
angles (deg): 90.00 90.00 90.00
Sites, in units of the cell vectors:
Li1 0.0926 0.1090 0.2500
Li2 0.0926 0.3910 0.7500
Li3 0.9074 0.6090 0.2500
Li4 0.9074 0.8910 0.7500
Sn1 0.1267 0.6739 0.6128
Sn2 0.1267 0.6739 0.8872
Sn3 0.1267 0.8261 0.1128
Sn4 0.1267 0.8261 0.3872
Sn5 0.3418 0.0762 0.7500
Sn6 0.3418 0.4238 0.2500
Sn7 0.3660 0.1268 0.0635
Sn8 0.3660 0.1268 0.4365
Sn9 0.3660 0.3732 0.5635
Sn10 0.3660 0.3732 0.9365
Sn11 0.6340 0.6268 0.0635
Sn12 0.6340 0.6268 0.4365
Sn13 0.6340 0.8732 0.5635
Sn14 0.6340 0.8732 0.9365
Sn15 0.6582 0.5762 0.7500
Sn16 0.6582 0.9238 0.2500
Sn17 0.8733 0.1739 0.6128
Sn18 0.8733 0.1739 0.8872
Sn19 0.8733 0.3261 0.1128
Sn20 0.8733 0.3261 0.3872
Rh1 0.1488 0.5515 0.0778
Rh2 0.1488 0.5515 0.4222
Rh3 0.1488 0.9485 0.5778
Rh4 0.1488 0.9485 0.9222
Rh5 0.4062 0.6946 0.2500
Rh6 0.4062 0.8054 0.7500
Rh7 0.5938 0.1946 0.2500
Rh8 0.5938 0.3054 0.7500
Rh9 0.8512 0.0515 0.0778
Rh10 0.8512 0.0515 0.4222
Rh11 0.8512 0.4485 0.5778
Rh12 0.8512 0.4485 0.9222

Largest 12 diffraction maxima, low angle first, 2θ = 10–90°:
27.47 deg, intensity 32
32.09 deg, intensity 99
33.94 deg, intensity 70
36.75 deg, intensity 37
38.13 deg, intensity 100
39.32 deg, intensity 35
40.03 deg, intensity 86
40.72 deg, intensity 51
41.89 deg, intensity 62
42.21 deg, intensity 84
42.95 deg, intensity 45
44.27 deg, intensity 31


Structure and simulated X-ray powder pattern of NaH4 (a structure optimized by DFT (GGA-PBE); CuKα).
Kinematic intensities with the Lorentz-polarization factor, no thermal factor.

Crystal structure
a b c (Å): 4.7234 5.2172 6.1998
angles (deg): 71.04 88.56 88.95
Sites, in units of the cell vectors:
Na1 0.0000 0.0000 0.0000
Na2 0.4935 0.4301 0.1830
H1 0.1825 0.4296 0.5354
H2 0.2109 0.9372 0.5260
H3 0.2416 0.8714 0.6530
H4 0.2460 0.3924 0.6542
H5 0.6772 0.1375 0.6527
H6 0.7158 0.6250 0.6560
H7 0.7261 0.6840 0.5259
H8 0.7619 0.1600 0.5413

Largest 12 diffraction maxima, low angle first, 2θ = 10–90°:
15.11 deg, intensity 100
23.96 deg, intensity 32
24.45 deg, intensity 34
25.98 deg, intensity 93
26.27 deg, intensity 91
26.77 deg, intensity 81
27.14 deg, intensity 45
27.49 deg, intensity 75
29.98 deg, intensity 44
34.57 deg, intensity 45
35.73 deg, intensity 36
36.41 deg, intensity 68


Structure and simulated X-ray powder pattern of Y2TmHf (a structure optimized by DFT (GGA-PBE); CuKα).
Kinematic intensities with the Lorentz-polarization factor, no thermal factor.

Crystal structure
a b c (Å): 11.3280 11.3280 11.3280
angles (deg): 17.48 17.48 17.48
Sites, in units of the cell vectors:
Y1 0.0000 0.0000 0.0000
Y2 0.1758 0.1758 0.1758
Tm1 0.4215 0.4215 0.4215
Hf1 0.5877 0.5877 0.5877

Largest 12 diffraction maxima, low angle first, 2θ = 10–90°:
15.89 deg, intensity 24
30.10 deg, intensity 20
30.46 deg, intensity 31
32.10 deg, intensity 46
32.90 deg, intensity 100
35.49 deg, intensity 72
40.53 deg, intensity 20
53.23 deg, intensity 34
55.97 deg, intensity 29
63.53 deg, intensity 39
64.00 deg, intensity 15
87.88 deg, intensity 12


Structure and simulated X-ray powder pattern of SrCu12Sn7 (a structure optimized by DFT (GGA-PBE); CuKα).
Kinematic intensities with the Lorentz-polarization factor, no thermal factor.

Crystal structure
a b c (Å): 8.2638 8.2638 8.2638
angles (deg): 113.15 113.15 113.15
Sites, in units of the cell vectors:
Sr1 0.0000 0.0000 0.0000
Cu1 0.0000 0.2679 0.7321
Cu2 0.0000 0.7321 0.2679
Cu3 0.0204 0.3784 0.3784
Cu4 0.2679 0.0000 0.7321
Cu5 0.2679 0.7321 0.0000
Cu6 0.3784 0.0204 0.3784
Cu7 0.3784 0.3784 0.0204
Cu8 0.6216 0.6216 0.9796
Cu9 0.6216 0.9796 0.6216
Cu10 0.7321 0.0000 0.2679
Cu11 0.7321 0.2679 0.0000
Cu12 0.9796 0.6216 0.6216
Sn1 0.2008 0.2008 0.5523
Sn2 0.2008 0.5523 0.2008
Sn3 0.4477 0.7992 0.7992
Sn4 0.5000 0.5000 0.5000
Sn5 0.5523 0.2008 0.2008
Sn6 0.7992 0.4477 0.7992
Sn7 0.7992 0.7992 0.4477

Largest 12 diffraction maxima, low angle first, 2θ = 10–90°:
32.90 deg, intensity 31
33.57 deg, intensity 81
35.45 deg, intensity 26
39.19 deg, intensity 100
40.69 deg, intensity 59
40.90 deg, intensity 24
42.84 deg, intensity 30
46.90 deg, intensity 29
57.78 deg, intensity 16
57.93 deg, intensity 19
58.32 deg, intensity 17
85.21 deg, intensity 21


Structure and simulated X-ray powder pattern of Dy5AlGa2 (a structure optimized by DFT (GGA-PBE); CuKα).
Kinematic intensities with the Lorentz-polarization factor, no thermal factor.

Crystal structure
a b c (Å): 8.9588 8.9588 8.9588
angles (deg): 129.34 129.34 74.47
Sites, in units of the cell vectors:
Dy1 0.0000 0.0000 0.0000
Dy2 0.0234 0.5234 0.8399
Dy3 0.1835 0.0234 0.5000
Dy4 0.3165 0.8165 0.8399
Dy5 0.4766 0.3165 0.5000
Dy6 0.5000 0.5000 0.0000
Dy7 0.5234 0.6835 0.5000
Dy8 0.6835 0.1835 0.1601
Dy9 0.8165 0.9766 0.5000
Dy10 0.9766 0.4766 0.1601
Al1 0.2500 0.2500 0.0000
Al2 0.7500 0.7500 0.0000
Ga1 0.1219 0.3781 0.5000
Ga2 0.3781 0.8781 0.2563
Ga3 0.6219 0.1219 0.7437
Ga4 0.8781 0.6219 0.5000

Largest 12 diffraction maxima, low angle first, 2θ = 10–90°:
26.40 deg, intensity 15
26.74 deg, intensity 19
29.99 deg, intensity 12
32.19 deg, intensity 100
33.05 deg, intensity 11
34.35 deg, intensity 34
37.08 deg, intensity 37
37.84 deg, intensity 15
52.22 deg, intensity 14
52.87 deg, intensity 18
54.02 deg, intensity 14
57.15 deg, intensity 15


Structure and simulated X-ray powder pattern of Ca4U3SnAs8 (a structure optimized by DFT (GGA-PBE); CuKα).
Kinematic intensities with the Lorentz-polarization factor, no thermal factor.

Crystal structure
a b c (Å): 8.3372 8.3372 8.3372
angles (deg): 60.75 60.75 60.75
Sites, in units of the cell vectors:
Ca1 0.0000 0.0000 0.0000
Ca2 0.0000 0.5000 0.5000
Ca3 0.5000 0.0000 0.5000
Ca4 0.5000 0.5000 0.0000
U1 0.0000 0.0000 0.5000
U2 0.0000 0.5000 0.0000
U3 0.5000 0.0000 0.0000
Sn1 0.5000 0.5000 0.5000
As1 0.2301 0.7486 0.7486
As2 0.2438 0.2438 0.2438
As3 0.2514 0.2514 0.7699
As4 0.2514 0.7699 0.2514
As5 0.7486 0.2301 0.7486
As6 0.7486 0.7486 0.2301
As7 0.7562 0.7562 0.7562
As8 0.7699 0.2514 0.2514

Largest 12 diffraction maxima, low angle first, 2θ = 10–90°:
13.08 deg, intensity 45
24.78 deg, intensity 23
30.15 deg, intensity 100
39.69 deg, intensity 13
42.90 deg, intensity 38
43.42 deg, intensity 35
45.04 deg, intensity 15
53.33 deg, intensity 20
62.69 deg, intensity 12
70.75 deg, intensity 17
71.50 deg, intensity 15
78.97 deg, intensity 12


Structure and simulated X-ray powder pattern of DyBeH (a structure optimized by DFT (GGA-PBE); CuKα).
Kinematic intensities with the Lorentz-polarization factor, no thermal factor.

Crystal structure
a b c (Å): 6.2243 6.2243 3.8390
angles (deg): 90.00 90.00 144.79
Sites, in units of the cell vectors:
Dy1 0.1494 0.8506 0.7500
Dy2 0.8506 0.1494 0.2500
Be1 0.4632 0.5368 0.7500
Be2 0.5368 0.4632 0.2500
H1 0.2466 0.7534 0.2500
H2 0.7534 0.2466 0.7500

Largest 12 diffraction maxima, low angle first, 2θ = 10–90°:
14.93 deg, intensity 18
24.81 deg, intensity 45
27.68 deg, intensity 100
30.13 deg, intensity 28
32.84 deg, intensity 70
34.20 deg, intensity 86
38.35 deg, intensity 18
47.36 deg, intensity 14
48.34 deg, intensity 14
51.36 deg, intensity 40
56.62 deg, intensity 28
58.83 deg, intensity 27


What did the first record say?
Structure and simulated X-ray powder pattern of PmTh3Se4 (a structure optimized by DFT (GGA-PBE); CuKα).
Kinematic intensities with the Lorentz-polarization factor, no thermal factor.

Crystal structure
a b c (Å): 7.2381 8.6003 7.1938
angles (deg): 90.00 110.62 90.00
Sites, in units of the cell vectors:
Pm1 0.0000 0.1234 0.2500
Pm2 0.0000 0.8766 0.7500
Th1 0.0000 0.3755 0.7500
Th2 0.0000 0.6245 0.2500
Th3 0.5000 0.1260 0.7500
Th4 0.5000 0.3770 0.2500
Th5 0.5000 0.6230 0.7500
Th6 0.5000 0.8740 0.2500
Se1 0.2472 0.3722 0.4974
Se2 0.2472 0.6278 0.9974
Se3 0.2484 0.1239 0.0010
Se4 0.2484 0.8761 0.5010
Se5 0.7516 0.1239 0.4990
Se6 0.7516 0.8761 0.9990
Se7 0.7528 0.3722 0.0026
Se8 0.7528 0.6278 0.5026

Largest 12 diffraction maxima, low angle first, 2θ = 10–90°:
25.58 deg, intensity 19
26.31 deg, intensity 9
26.48 deg, intensity 9
30.10 deg, intensity 100
42.02 deg, intensity 14
42.99 deg, intensity 25
43.21 deg, intensity 25
44.10 deg, intensity 12
52.57 deg, intensity 14
54.15 deg, intensity 7
62.58 deg, intensity 13
71.16 deg, intensity 12


Copy entry 2 word for word.
Structure and simulated X-ray powder pattern of PmGe3Ir2 (a structure optimized by DFT (GGA-PBE); CuKα).
Kinematic intensities with the Lorentz-polarization factor, no thermal factor.

Crystal structure
a b c (Å): 6.3000 6.3000 5.7190
angles (deg): 90.00 90.00 77.65
Sites, in units of the cell vectors:
Pm1 0.1602 0.8398 0.7500
Pm2 0.8398 0.1602 0.2500
Ge1 0.0576 0.6112 0.2500
Ge2 0.3888 0.9424 0.2500
Ge3 0.4763 0.5237 0.2500
Ge4 0.5237 0.4763 0.7500
Ge5 0.6112 0.0576 0.7500
Ge6 0.9424 0.3888 0.7500
Ir1 0.2690 0.2690 0.0000
Ir2 0.2690 0.2690 0.5000
Ir3 0.7310 0.7310 0.0000
Ir4 0.7310 0.7310 0.5000

Largest 12 diffraction maxima, low angle first, 2θ = 10–90°:
18.07 deg, intensity 50
22.51 deg, intensity 37
29.02 deg, intensity 56
33.06 deg, intensity 31
33.53 deg, intensity 64
35.29 deg, intensity 36
36.36 deg, intensity 100
36.62 deg, intensity 42
38.88 deg, intensity 82
43.19 deg, intensity 93
43.41 deg, intensity 40
49.77 deg, intensity 32